(1)
This entry pairs a crystal structure of Zr7Zn3 with its computed powder diffractogram. Radiation: Cu Kα, 1.54184 Å. Structure: a GGA-PBE-relaxed structure.
Intensities are scaled so that the largest is 100.

Peak list (6 most intense, 10° ≤ 2θ ≤ 80°, low angle first)
2θ 31.26, 2.862 Å, rel. 35.5, hkl 1 0 2; 2θ 34.09, 2.630 Å, rel. 95.6, hkl 2 1 1; 2θ 37.38, 2.406 Å, rel. 70.6, hkl 2 0 2; 2θ 38.00, 2.368 Å, rel. 100.0, hkl 3 0 1; 2θ 40.62, 2.221 Å, rel. 28.9, hkl 2 2 0; 2θ 62.75, 1.481 Å, rel. 27.2, hkl 3 3 0

Structural model:
a b c (Å): 8.885 8.885 6.166
angles (deg): 90.00 90.00 120.00
Sites, in units of the cell vectors:
Zr (0.069, 0.534, 0.000)
Zr (0.122, 0.243, 0.260)
Zr (0.122, 0.878, 0.260)
Zr (0.243, 0.122, 0.760)
Zr (0.333, 0.667, 0.359)
Zr (0.466, 0.534, 0.000)
Zr (0.466, 0.931, 0.000)
Zr (0.534, 0.069, 0.500)
Zr (0.534, 0.466, 0.500)
Zr (0.667, 0.333, 0.859)
Zr (0.757, 0.878, 0.260)
Zr (0.878, 0.122, 0.760)
Zr (0.878, 0.757, 0.760)
Zr (0.931, 0.466, 0.500)
Zn (0.207, 0.413, 0.680)
Zn (0.207, 0.793, 0.680)
Zn (0.413, 0.207, 0.180)
Zn (0.587, 0.793, 0.680)
Zn (0.793, 0.207, 0.180)
Zn (0.793, 0.587, 0.180)

***

(2)
This entry pairs a crystal structure of Tm4GaSiSe2 with its computed powder diffractogram. Radiation: Cu Kα, 1.54184 Å. Structure: a GGA-PBE-relaxed structure.
Intensities are scaled so that the largest is 100.

Peak list (6 most intense, 10° ≤ 2θ ≤ 80°, low angle first)
2θ 26.90, 3.315 Å, rel. 55.3, hkl 1 1 2; 2θ 31.04, 2.881 Å, rel. 50.6, hkl 0 0 4; 2θ 31.21, 2.865 Å, rel. 100.0, hkl 2 0 0; 2θ 44.60, 2.032 Å, rel. 74.6, hkl 2 0 4; 2θ 44.73, 2.026 Å, rel. 37.1, hkl 2 2 0; 2θ 55.44, 1.657 Å, rel. 39.2, hkl 2 2 4

Structural model:
a b c (Å): 5.731 5.731 11.524
angles (deg): 90.00 90.00 90.00
Sites, in units of the cell vectors:
Tm (0.000, 0.000, 0.247)
Tm (0.000, 0.000, 0.753)
Tm (0.000, 0.500, 0.502)
Tm (0.000, 0.500, 0.998)
Tm (0.500, 0.000, 0.002)
Tm (0.500, 0.000, 0.498)
Tm (0.500, 0.500, 0.253)
Tm (0.500, 0.500, 0.747)
Ga (0.000, 0.500, 0.250)
Ga (0.500, 0.000, 0.750)
Si (0.000, 0.000, 0.000)
Si (0.500, 0.500, 0.500)
Se (0.000, 0.000, 0.500)
Se (0.000, 0.500, 0.750)
Se (0.500, 0.000, 0.250)
Se (0.500, 0.500, 0.000)

***

(3)
This entry pairs a crystal structure of SnIrPb with its computed powder diffractogram. Radiation: Cu Kα, 1.54184 Å. Structure: a GGA-PBE-relaxed structure.
Intensities are scaled so that the largest is 100.

Peak list (6 most intense, 10° ≤ 2θ ≤ 80°, low angle first)
2θ 23.45, 3.794 Å, rel. 38.5, hkl 1 1 1; 2θ 27.14, 3.285 Å, rel. 8.9, hkl 2 0 0; 2θ 38.76, 2.323 Å, rel. 100.0, hkl 2 2 0; 2θ 45.80, 1.981 Å, rel. 20.1, hkl 3 1 1; 2θ 55.98, 1.643 Å, rel. 17.5, hkl 4 0 0; 2θ 70.17, 1.341 Å, rel. 36.4, hkl 4 2 2

Structural model:
a b c (Å): 6.571 6.571 6.571
angles (deg): 90.00 90.00 90.00
Sites, in units of the cell vectors:
Sn (0.000, 0.000, 0.000)
Sn (0.000, 0.500, 0.500)
Sn (0.500, 0.000, 0.500)
Sn (0.500, 0.500, 0.000)
Ir (0.250, 0.250, 0.250)
Ir (0.250, 0.750, 0.750)
Ir (0.750, 0.250, 0.750)
Ir (0.750, 0.750, 0.250)
Pb (0.000, 0.000, 0.500)
Pb (0.000, 0.500, 0.000)
Pb (0.500, 0.000, 0.000)
Pb (0.500, 0.500, 0.500)